Diffraction record for NaAg2Br3. The PXRD pattern is computed, not measured: it uses a structure optimized by DFT (PBE) and a wavelength of 1.5418 Å.
Neutral-atom scattering factors, no anomalous dispersion.

The 10 most intense peaks (10° ≤ 2θ ≤ 90°), by angle:
index  2θ (°)  I_rel
0 2 0  12.99  9
0 1 1  15.35  12
0 3 1  24.06  100
2 0 0  39.69  26
1 3 2  39.86  51
2 3 1  46.95  31
1 0 3  47.24  15
2 6 0  57.39  8
1 6 3  63.36  12
3 3 2  72.14  16

Atomic structure:
Unit cell a=4.5407 b=13.6277 c=6.3724 alpha=90.00 beta=90.00 gamma=90.00
Space group Imm2 (No. 44)
One atom of each set of equivalent atoms:
1 Na 0.0000 0.0000 0.0000 x2
2 Ag 0.0000 0.3317 0.9999 x4
3 Br 0.0000 0.1721 0.7393 x4
4 Br 0.0000 0.5000 0.7675 x2